Entry 1:
The following is a computed X-ray powder pattern of CdAs3. It was derived from a crystal structure in Alexandria, relaxed with GGA-PBE, using Cu Kα (λ = 1.5418 Å).
Lines closer than 0.1° are merged.

Crystal structure
Unit cell a=5.7909 b=5.7909 c=5.7909 alpha=151.18 beta=96.20 gamma=90.91
Fractional coordinates of all 4 atoms:
Cd  0.0000  0.0000  0.0000
As  0.0363  0.7646  0.2717
As  0.4762  0.9762  0.5000
As  0.4929  0.7646  0.7283

Top 10 peaks for 15° ≤ 2θ ≤ 90°, by angle:
two_theta  Rel. int.
15.82  11
31.95  100
32.97  57
40.58  46
44.61  18
45.98  11
46.99  16
52.02  36
58.60  19
73.96  17

---

Entry 2:
The following is a computed X-ray powder pattern of Cd3As2. It was derived from a crystal structure in Alexandria, relaxed with GGA-PBE, using Cu Kα (λ = 1.5418 Å).
Lines closer than 0.1° are merged.

Crystal structure
Unit cell a=9.1682 b=9.1682 c=12.8040 alpha=90.00 beta=90.00 gamma=90.00
Fractional coordinates of all 40 atoms:
Cd  0.0057  0.7500  0.1033
Cd  0.0314  0.7500  0.6449
Cd  0.0343  0.2500  0.6324
Cd  0.2500  0.0343  0.1324
Cd  0.2500  0.4657  0.1324
Cd  0.2500  0.5057  0.3967
Cd  0.2500  0.5314  0.8551
Cd  0.2500  0.9686  0.8551
Cd  0.2500  0.9943  0.3967
Cd  0.4657  0.2500  0.6324
Cd  0.4686  0.7500  0.6449
Cd  0.4943  0.7500  0.1033
Cd  0.5057  0.2500  0.8967
Cd  0.5314  0.2500  0.3551
Cd  0.5343  0.7500  0.3676
Cd  0.7500  0.0057  0.6033
Cd  0.7500  0.0314  0.1449
Cd  0.7500  0.4686  0.1449
Cd  0.7500  0.4943  0.6033
Cd  0.7500  0.5343  0.8676
Cd  0.7500  0.9657  0.8676
Cd  0.9657  0.7500  0.3676
Cd  0.9686  0.2500  0.3551
Cd  0.9943  0.2500  0.8967
As  0.0058  0.5058  0.2500
As  0.0058  0.9942  0.2500
As  0.2500  0.2500  0.4917
As  0.2500  0.2500  0.9917
As  0.2500  0.7500  0.5052
As  0.2500  0.7500  0.9948
As  0.4942  0.5058  0.2500
As  0.4942  0.9942  0.2500
As  0.5058  0.0058  0.7500
As  0.5058  0.4942  0.7500
As  0.7500  0.2500  0.0052
As  0.7500  0.2500  0.4948
As  0.7500  0.7500  0.0083
As  0.7500  0.7500  0.5083
As  0.9942  0.0058  0.7500
As  0.9942  0.4942  0.7500

Top 10 peaks for 15° ≤ 2θ ≤ 90°, by angle:
two_theta  Rel. int.
23.87  45
25.80  18
27.52  19
28.58  26
32.46  14
39.31  54
39.57  100
46.51  16
56.80  15
71.44  24

---

Entry 3:
The following is a computed X-ray powder pattern of Cd3As2. It was derived from a crystal structure in Alexandria, relaxed with GGA-PBE, using Cu Kα (λ = 1.5418 Å).
Lines closer than 0.1° are merged.

Crystal structure
Unit cell a=7.0016 b=7.0016 c=7.3621 alpha=118.57 beta=118.57 gamma=60.06
Fractional coordinates of all 10 atoms:
Cd  0.0395  0.9605  0.7500
Cd  0.2496  0.4596  0.2491
Cd  0.4596  0.2496  0.7491
Cd  0.5404  0.7504  0.2509
Cd  0.7504  0.5404  0.7509
Cd  0.9605  0.0395  0.2500
As  0.1386  0.6380  0.9129
As  0.3620  0.8614  0.5871
As  0.6380  0.1386  0.4129
As  0.8614  0.3620  0.0871

Top 10 peaks for 15° ≤ 2θ ≤ 90°, by angle:
two_theta  Rel. int.
17.51  15
29.10  17
29.37  100
35.40  14
38.99  21
39.11  11
39.62  11
44.10  11
44.83  36
51.71  13